1.
Calculated X-ray diffraction stick pattern of CaAc4La8 for λ = 1.5418 Å (Cu Kα), from the PBE geometry in Alexandria.
Kinematic intensities with the Lorentz-polarization factor, no thermal factor.

The 12 most intense peaks (15° ≤ 2θ ≤ 90°), by intensity:
2θ/deg, I/Imax
27.6, 100
29.8, 63
31.4, 46
31.7, 45
31.5, 44
31.9, 43
16.7, 38
24.3, 34
24.2, 31
31.1, 30
43.6, 24
55.4, 24

Atomic structure:
```
13
Lattice="7.0851 0.0000 0.0000 -2.9502 6.5397 0.0000 -0.0455 -0.0680 11.5152" Properties=species:S:1:pos:R:3 pbc="T T T"
Ca 0.0000 0.0000 0.0000
Ac -0.0227 -0.0340 5.7576
Ac -1.4751 3.2699 0.0000
Ac 3.5426 0.0000 0.0000
Ac 2.0447 3.2358 5.7576
La -0.6067 4.9175 8.0666
La -0.5544 4.9972 3.4476
La 1.1893 1.8766 2.4871
La 1.1639 1.8378 9.0370
La 2.9256 4.6339 2.4782
La 2.9001 4.5951 9.0281
La 4.6438 1.4745 8.0676
La 4.6962 1.5542 3.4486
```

---

2.
Calculated X-ray diffraction stick pattern of CaAcLa2 for λ = 1.5418 Å (Cu Kα), from the PBE geometry in Alexandria.
Kinematic intensities with the Lorentz-polarization factor, no thermal factor.

The 12 most intense peaks (15° ≤ 2θ ≤ 90°), by intensity:
2θ/deg, I/Imax
29.2, 100
51.7, 41
17.7, 23
83.6, 21
41.7, 19
68.6, 17
34.4, 14
60.5, 13
45.7, 7
55.1, 5
63.6, 5
76.2, 4

Atomic structure:
```
4
Lattice="0.0000 4.3277 4.3277 4.3277 0.0000 4.3277 4.3277 4.3277 0.0000" Properties=species:S:1:pos:R:3 pbc="T T T"
Ca 0.0000 0.0000 0.0000
Ac 4.3277 4.3277 4.3277
La 2.1639 2.1639 2.1639
La 6.4916 6.4916 6.4916
```

---

3.
Calculated X-ray diffraction stick pattern of CaAc2LaNd for λ = 1.5418 Å (Cu Kα), from the PBE geometry in Alexandria.
Kinematic intensities with the Lorentz-polarization factor, no thermal factor.

The 12 most intense peaks (15° ≤ 2θ ≤ 90°), by intensity:
2θ/deg, I/Imax
30.9, 100
31.2, 81
23.8, 75
29.3, 68
32.4, 63
25.1, 56
49.0, 48
28.0, 44
30.2, 36
20.0, 27
21.5, 27
42.2, 23

Atomic structure:
```
10
Lattice="9.2321 0.0000 0.0000 0.0000 6.4840 0.0000 -0.9839 0.0000 7.2662" Properties=species:S:1:pos:R:3 pbc="T T T"
Ca -0.2460 0.1119 1.8166
Ca -0.7379 6.3721 5.4497
Ac 2.4561 0.7079 4.3161
Ac 2.9480 5.7761 0.6830
Ac 5.3002 0.7079 6.5832
Ac 5.7922 5.7761 2.9501
La 0.0000 3.2420 0.0000
La -0.4919 3.2420 3.6331
Nd 4.3701 2.5808 1.8166
Nd 3.8781 3.9032 5.4497
```

---

4.
Calculated X-ray diffraction stick pattern of Ca2Ac6La3Pm for λ = 1.5418 Å (Cu Kα), from the PBE geometry in Alexandria.
Kinematic intensities with the Lorentz-polarization factor, no thermal factor.

The 12 most intense peaks (15° ≤ 2θ ≤ 90°), by intensity:
2θ/deg, I/Imax
28.0, 100
32.6, 68
28.4, 32
47.0, 25
55.5, 20
46.6, 17
55.2, 15
55.9, 15
58.0, 13
26.8, 13
78.1, 11
55.4, 10

Atomic structure:
```
12
Lattice="3.3768 -5.8605 0.0000 3.3768 5.8605 0.0000 -2.2607 0.0000 12.5579" Properties=species:S:1:pos:R:3 pbc="T T T"
Ca 3.3768 3.9064 0.0000
Ca 3.3768 -3.9064 0.0000
Ac 0.0121 1.9268 9.3950
Ac 1.1542 0.0000 3.1509
Ac 0.0121 -1.9268 9.3950
Ac 4.4808 1.9268 3.1629
Ac 3.3387 0.0000 9.4069
Ac 4.4808 -1.9268 3.1629
La -1.1304 0.0000 6.2789
La 2.2465 1.9288 6.2789
La 2.2465 -1.9288 6.2789
Pm 3.3768 0.0000 0.0000
```